1.
Diffraction record for SrY4Mo. The powder diffractogram is simulated, not measured: it uses DFT lattice parameters and positions (GGA-PBE) and λ = 1.5418 Å (Cu Kα).

Peak list (6 most intense, 2θ = 10–80°, sorted by position)
| 2theta | Rel. int. | hkl |
| --- | --- | --- |
| 27.32 | 27 | 2 2 0 |
| 32.16 | 100 | 3 1 1 |
| 33.63 | 40 | 2 2 2 |
| 51.43 | 34 | 3 3 3 |
| 56.38 | 30 | 4 4 0 |
| 79.80 | 21 | 7 3 1 |

Crystal structure
```
data_SrY4Mo
_chemical_formula_sum 'Sr4 Y16 Mo4'
_space_group_name_H-M_alt 'F -4 3 m'
_space_group_IT_number 216
_space_group_name_Hall 'F -4 2 3'
_cell_length_a 9.2319
_cell_length_b 9.2319
_cell_length_c 9.2319
_cell_angle_alpha 90.00
_cell_angle_beta 90.00
_cell_angle_gamma 90.00
loop_
_atom_site_label
_atom_site_type_symbol
_atom_site_fract_x
_atom_site_fract_y
_atom_site_fract_z
_atom_site_occupancy
Sr1 Sr 0.0000 0.0000 0.0000 1
Y1 Y 0.1227 0.1227 0.6227 1
Mo1 Mo 0.2500 0.2500 0.2500 1
```

2.
Diffraction record for TaMo2. The powder diffractogram is simulated, not measured: it uses DFT lattice parameters and positions (GGA-PBE) and λ = 1.5418 Å (Cu Kα).

Peak list (6 most intense, 2θ = 10–80°, sorted by position)
| 2theta | Rel. int. | hkl |
| --- | --- | --- |
| 39.10 | 26 | 0 2 0 |
| 39.68 | 100 | 1 1 3 |
| 40.33 | 24 | 0 0 6 |
| 57.43 | 16 | 0 2 6 |
| 71.23 | 18 | 1 3 3 |
| 72.89 | 16 | 1 1 9 |

Crystal structure
```
data_TaMo2
_chemical_formula_sum 'Ta4 Mo8'
_space_group_name_H-M_alt 'C m m m'
_space_group_IT_number 65
_space_group_name_Hall '-C 2 2'
_cell_length_a 3.2149
_cell_length_b 4.6081
_cell_length_c 13.4172
_cell_angle_alpha 90.00
_cell_angle_beta 90.00
_cell_angle_gamma 90.00
loop_
_atom_site_label
_atom_site_type_symbol
_atom_site_fract_x
_atom_site_fract_y
_atom_site_fract_z
_atom_site_occupancy
Ta1 Ta 0.0000 0.0000 0.1687 1
Mo1 Mo 0.0000 0.0000 0.5000 1
Mo2 Mo 0.0000 0.5000 0.0000 1
Mo3 Mo 0.0000 0.5000 0.3380 1
```

3.
Diffraction record for Ta6Mo. The powder diffractogram is simulated, not measured: it uses DFT lattice parameters and positions (GGA-PBE) and λ = 1.5418 Å (Cu Kα).

Peak list (6 most intense, 2θ = 10–80°, sorted by position)
| 2theta | Rel. int. | hkl |
| --- | --- | --- |
| 38.49 | 100 | 2 1 1 |
| 38.80 | 98 | 1 4 0 |
| 55.80 | 34 | 6 -4 1 |
| 69.42 | 17 | 3 -2 2 |
| 70.04 | 34 | 7 0 1 |
| 70.24 | 17 | 6 3 0 |

Crystal structure
```
data_Ta6Mo
_chemical_formula_sum 'Ta18 Mo3'
_space_group_name_H-M_alt 'R -3'
_space_group_IT_number 148
_space_group_name_Hall '-R 3'
_cell_length_a 12.2812
_cell_length_b 12.2812
_cell_length_c 2.8756
_cell_angle_alpha 90.00
_cell_angle_beta 90.00
_cell_angle_gamma 120.00
loop_
_atom_site_label
_atom_site_type_symbol
_atom_site_fract_x
_atom_site_fract_y
_atom_site_fract_z
_atom_site_occupancy
Ta1 Ta 0.0474 0.2360 0.1831 1
Mo1 Mo 0.0000 0.0000 0.5000 1
```

4.
Diffraction record for TaMo3. The powder diffractogram is simulated, not measured: it uses DFT lattice parameters and positions (GGA-PBE) and λ = 1.5418 Å (Cu Kα).

Peak list (6 most intense, 2θ = 10–80°, sorted by position)
| 2theta | Rel. int. | hkl |
| --- | --- | --- |
| 39.82 | 100 | 4 0 0 |
| 39.94 | 99 | 2 2 2 |
| 57.67 | 33 | 4 4 0 |
| 72.20 | 17 | 6 2 -2 |
| 72.37 | 17 | 6 2 2 |
| 72.51 | 22 | 0 4 4 |

Crystal structure
```
data_TaMo3
_chemical_formula_sum 'Ta8 Mo24'
_space_group_name_H-M_alt 'C 1 m 1'
_space_group_IT_number 8
_cell_length_a 9.0656
_cell_length_b 9.0172
_cell_length_c 6.3952
_cell_angle_alpha 90.00
_cell_angle_beta 90.15
_cell_angle_gamma 90.00
loop_
_space_group_symop_operation_xyz
'x,y,z'
'x,-y,z'
'x+1/2,y+1/2,z'
'x+1/2,-y+1/2,z'
loop_
_atom_site_label
_atom_site_type_symbol
_atom_site_fract_x
_atom_site_fract_y
_atom_site_fract_z
_atom_site_occupancy
Ta1 Ta 0.0000 0.0000 0.0000 1
Ta2 Ta 0.0003 0.0000 0.4964 1
Ta3 Ta 0.0057 0.5000 0.4952 1
Ta4 Ta 0.2550 0.0000 0.7505 1
Mo1 Mo 0.0024 0.2513 0.2462 1
Mo2 Mo 0.0027 0.2509 0.7487 1
Mo3 Mo 0.0042 0.5000 0.9985 1
Mo4 Mo 0.2510 0.5000 0.2461 1
Mo5 Mo 0.2511 0.5000 0.7490 1
Mo6 Mo 0.2525 0.2507 0.9992 1
Mo7 Mo 0.2535 0.0000 0.2473 1
Mo8 Mo 0.2529 0.2503 0.4971 1
```

5.
Diffraction record for Ta6Mo. The powder diffractogram is simulated, not measured: it uses DFT lattice parameters and positions (GGA-PBE) and λ = 1.5418 Å (Cu Kα).

Peak list (6 most intense, 2θ = 10–80°, sorted by position)
| 2theta | Rel. int. | hkl |
| --- | --- | --- |
| 38.16 | 26 | 0 2 0 |
| 38.65 | 100 | 1 1 7 |
| 39.04 | 23 | 0 0 14 |
| 55.73 | 17 | 0 2 14 |
| 69.29 | 18 | 1 3 7 |
| 70.46 | 16 | 1 1 21 |

Crystal structure
```
data_Ta6Mo
_chemical_formula_sum 'Ta24 Mo4'
_space_group_name_H-M_alt 'F m m m'
_space_group_IT_number 69
_space_group_name_Hall '-F 2 2'
_cell_length_a 3.2899
_cell_length_b 4.7170
_cell_length_c 32.3038
_cell_angle_alpha 90.00
_cell_angle_beta 90.00
_cell_angle_gamma 90.00
loop_
_atom_site_label
_atom_site_type_symbol
_atom_site_fract_x
_atom_site_fract_y
_atom_site_fract_z
_atom_site_occupancy
Ta1 Ta 0.0000 0.0000 0.0676 1
Ta2 Ta 0.0000 0.0000 0.2134 1
Ta3 Ta 0.0000 0.0000 0.3594 1
Mo1 Mo 0.0000 0.0000 0.5000 1
```

6.
Diffraction record for Ta3Mo4. The powder diffractogram is simulated, not measured: it uses DFT lattice parameters and positions (GGA-PBE) and λ = 1.5418 Å (Cu Kα).

Peak list (6 most intense, 2θ = 10–80°, sorted by position)
| 2theta | Rel. int. | hkl |
| --- | --- | --- |
| 39.31 | 26 | 0 2 0 |
| 39.58 | 100 | 1 1 7 |
| 39.70 | 25 | 0 0 14 |
| 57.10 | 16 | 0 2 14 |
| 71.44 | 17 | 1 3 7 |
| 71.97 | 24 | 2 0 14 |

Crystal structure
```
data_Ta3Mo4
_chemical_formula_sum 'Ta12 Mo16'
_space_group_name_H-M_alt 'F m m 2'
_space_group_IT_number 42
_space_group_name_Hall 'F 2 -2'
_cell_length_a 3.2143
_cell_length_b 4.5844
_cell_length_c 31.7860
_cell_angle_alpha 90.00
_cell_angle_beta 90.00
_cell_angle_gamma 90.00
loop_
_atom_site_label
_atom_site_type_symbol
_atom_site_fract_x
_atom_site_fract_y
_atom_site_fract_z
_atom_site_occupancy
Ta1 Ta 0.0000 0.0000 0.0000 1
Ta2 Ta 0.0000 0.0000 0.1427 1
Ta3 Ta 0.0000 0.0000 0.4236 1
Mo1 Mo 0.0000 0.0000 0.2833 1
Mo2 Mo 0.0000 0.0000 0.5711 1
Mo3 Mo 0.0000 0.0000 0.7147 1
Mo4 Mo 0.0000 0.0000 0.8518 1
```

7.
Diffraction record for Ta4Mo5. The powder diffractogram is simulated, not measured: it uses DFT lattice parameters and positions (GGA-PBE) and λ = 1.5418 Å (Cu Kα).

Peak list (6 most intense, 2θ = 10–80°, sorted by position)
| 2theta | Rel. int. | hkl |
| --- | --- | --- |
| 39.43 | 50 | 3 3 0 |
| 39.53 | 100 | 3 0 1 |
| 56.99 | 17 | 6 0 0 |
| 57.30 | 8 | 0 0 2 |
| 71.57 | 34 | 6 3 1 |
| 71.78 | 17 | 3 3 2 |

Crystal structure
```
data_Ta4Mo5
_chemical_formula_sum 'Ta8 Mo10'
_space_group_name_H-M_alt 'I 4/m m m'
_space_group_IT_number 139
_space_group_name_Hall '-I 4 2'
_cell_length_a 9.6959
_cell_length_b 9.6959
_cell_length_c 3.2156
_cell_angle_alpha 90.00
_cell_angle_beta 90.00
_cell_angle_gamma 90.00
loop_
_atom_site_label
_atom_site_type_symbol
_atom_site_fract_x
_atom_site_fract_y
_atom_site_fract_z
_atom_site_occupancy
Ta1 Ta 0.0000 0.3263 0.0000 1
Mo1 Mo 0.0000 0.0000 0.0000 1
Mo2 Mo 0.1661 0.1661 0.5000 1
```

8.
Diffraction record for Ta2Mo. The powder diffractogram is simulated, not measured: it uses DFT lattice parameters and positions (GGA-PBE) and λ = 1.5418 Å (Cu Kα).

Peak list (6 most intense, 2θ = 10–80°, sorted by position)
| 2theta | Rel. int. | hkl |
| --- | --- | --- |
| 38.68 | 26 | 2 0 0 |
| 39.00 | 100 | 1 3 1 |
| 39.70 | 24 | 0 0 2 |
| 56.63 | 17 | 2 0 2 |
| 70.21 | 27 | 3 3 1 |
| 71.58 | 17 | 1 3 3 |

Crystal structure
```
data_Ta2Mo
_chemical_formula_sum 'Ta8 Mo4'
_space_group_name_H-M_alt 'C m m m'
_space_group_IT_number 65
_space_group_name_Hall '-C 2 2'
_cell_length_a 4.6556
_cell_length_b 9.8436
_cell_length_c 4.5408
_cell_angle_alpha 90.00
_cell_angle_beta 90.00
_cell_angle_gamma 90.00
loop_
_atom_site_label
_atom_site_type_symbol
_atom_site_fract_x
_atom_site_fract_y
_atom_site_fract_z
_atom_site_occupancy
Ta1 Ta 0.0000 0.0000 0.0000 1
Ta2 Ta 0.0000 0.1708 0.5000 1
Ta3 Ta 0.0000 0.5000 0.5000 1
Mo1 Mo 0.0000 0.3309 0.0000 1
```

9.
Diffraction record for Ta3Mo4. The powder diffractogram is simulated, not measured: it uses DFT lattice parameters and positions (GGA-PBE) and λ = 1.5418 Å (Cu Kα).

Peak list (6 most intense, 2θ = 10–80°, sorted by position)
| 2theta | Rel. int. | hkl |
| --- | --- | --- |
| 39.38 | 100 | 2 1 1 |
| 39.73 | 97 | 1 4 0 |
| 57.18 | 34 | 6 -4 1 |
| 71.16 | 17 | 3 -2 2 |
| 71.88 | 33 | 7 0 1 |
| 72.12 | 17 | 6 3 0 |

Crystal structure
```
data_Ta3Mo4
_chemical_formula_sum 'Ta9 Mo12'
_space_group_name_H-M_alt 'R 3'
_space_group_IT_number 146
_space_group_name_Hall 'R 3'
_cell_length_a 12.0041
_cell_length_b 12.0041
_cell_length_c 2.8147
_cell_angle_alpha 90.00
_cell_angle_beta 90.00
_cell_angle_gamma 120.00
loop_
_atom_site_label
_atom_site_type_symbol
_atom_site_fract_x
_atom_site_fract_y
_atom_site_fract_z
_atom_site_occupancy
Ta1 Ta 0.0498 0.2359 0.0000 1
Mo1 Mo 0.0000 0.0000 0.3443 1
Mo2 Mo 0.1416 0.7134 0.3288 1
```

10.
Diffraction record for Ta5Mo11. The powder diffractogram is simulated, not measured: it uses DFT lattice parameters and positions (GGA-PBE) and λ = 1.5418 Å (Cu Kα).

Peak list (6 most intense, 2θ = 10–80°, sorted by position)
| 2theta | Rel. int. | hkl |
| --- | --- | --- |
| 39.66 | 20 | 2 0 -2 |
| 39.78 | 100 | 2 2 0 |
| 57.49 | 20 | 0 4 0 |
| 72.05 | 14 | 4 2 -2 |
| 72.15 | 7 | 2 4 -2 |
| 72.27 | 20 | 2 4 2 |

Crystal structure
```
data_Ta5Mo11
_chemical_formula_sum 'Ta5 Mo11'
_space_group_name_H-M_alt 'P 1 m 1'
_space_group_IT_number 6
_cell_length_a 6.4126
_cell_length_b 6.4070
_cell_length_c 6.4159
_cell_angle_alpha 90.00
_cell_angle_beta 90.23
_cell_angle_gamma 90.00
loop_
_space_group_symop_operation_xyz
'x,y,z'
'x,-y,z'
loop_
_atom_site_label
_atom_site_type_symbol
_atom_site_fract_x
_atom_site_fract_y
_atom_site_fract_z
_atom_site_occupancy
Ta1 Ta 0.0000 0.0000 0.0000 1
Ta2 Ta 0.0007 0.0000 0.4920 1
Ta3 Ta 0.2574 0.2521 0.7476 1
Ta4 Ta 0.5113 0.5000 0.4900 1
Mo1 Mo 0.0034 0.5000 0.9980 1
Mo2 Mo 0.0050 0.5000 0.4936 1
Mo3 Mo 0.2561 0.2512 0.2443 1
Mo4 Mo 0.5067 0.0000 0.4936 1
Mo5 Mo 0.5066 0.0000 0.9981 1
Mo6 Mo 0.5084 0.5000 0.9968 1
Mo7 Mo 0.7536 0.2513 0.2433 1
Mo8 Mo 0.7542 0.2513 0.7460 1
```

11.
Diffraction record for Ta6Mo. The powder diffractogram is simulated, not measured: it uses DFT lattice parameters and positions (GGA-PBE) and λ = 1.5418 Å (Cu Kα).

Peak list (6 most intense, 2θ = 10–80°, sorted by position)
| 2theta | Rel. int. | hkl |
| --- | --- | --- |
| 38.58 | 100 | 1 0 7 |
| 38.83 | 50 | 1 1 0 |
| 55.32 | 9 | 0 0 14 |
| 56.08 | 18 | 2 0 0 |
| 69.64 | 17 | 1 1 14 |
| 70.13 | 35 | 2 1 7 |

Crystal structure
```
data_Ta6Mo
_chemical_formula_sum 'Ta12 Mo2'
_space_group_name_H-M_alt 'I 4/m m m'
_space_group_IT_number 139
_space_group_name_Hall '-I 4 2'
_cell_length_a 3.2800
_cell_length_b 3.2800
_cell_length_c 23.2476
_cell_angle_alpha 90.00
_cell_angle_beta 90.00
_cell_angle_gamma 90.00
loop_
_atom_site_label
_atom_site_type_symbol
_atom_site_fract_x
_atom_site_fract_y
_atom_site_fract_z
_atom_site_occupancy
Ta1 Ta 0.0000 0.0000 0.0679 1
Ta2 Ta 0.0000 0.0000 0.2139 1
Ta3 Ta 0.0000 0.0000 0.3583 1
Mo1 Mo 0.0000 0.0000 0.5000 1
```

12.
Diffraction record for Ta4Mo. The powder diffractogram is simulated, not measured: it uses DFT lattice parameters and positions (GGA-PBE) and λ = 1.5418 Å (Cu Kα).

Peak list (6 most intense, 2θ = 10–80°, sorted by position)
| 2theta | Rel. int. | hkl |
| --- | --- | --- |
| 38.10 | 27 | 0 2 0 |
| 38.82 | 100 | 1 1 5 |
| 39.24 | 24 | 0 0 10 |
| 55.84 | 18 | 0 2 10 |
| 69.33 | 18 | 1 3 5 |
| 70.81 | 24 | 2 0 10 |

Crystal structure
```
data_Ta4Mo
_chemical_formula_sum 'Ta16 Mo4'
_space_group_name_H-M_alt 'F m m m'
_space_group_IT_number 69
_space_group_name_Hall '-F 2 2'
_cell_length_a 3.2689
_cell_length_b 4.7236
_cell_length_c 22.9603
_cell_angle_alpha 90.00
_cell_angle_beta 90.00
_cell_angle_gamma 90.00
loop_
_atom_site_label
_atom_site_type_symbol
_atom_site_fract_x
_atom_site_fract_y
_atom_site_fract_z
_atom_site_occupancy
Ta1 Ta 0.0000 0.0000 0.0956 1
Ta2 Ta 0.0000 0.0000 0.3012 1
Mo1 Mo 0.0000 0.0000 0.5000 1
```

13.
Diffraction record for TaMo8. The powder diffractogram is simulated, not measured: it uses DFT lattice parameters and positions (GGA-PBE) and λ = 1.5418 Å (Cu Kα).

Peak list (6 most intense, 2θ = 10–80°, sorted by position)
| 2theta | Rel. int. | hkl |
| --- | --- | --- |
| 13.12 | 3 | 1 1 0 |
| 29.63 | 2 | 3 1 0 |
| 40.12 | 100 | 3 3 0 |
| 57.98 | 11 | 6 0 0 |
| 58.13 | 5 | 0 0 2 |
| 72.89 | 33 | 3 3 2 |

Crystal structure
```
data_TaMo8
_chemical_formula_sum 'Ta2 Mo16'
_space_group_name_H-M_alt 'I 4/m m m'
_space_group_IT_number 139
_space_group_name_Hall '-I 4 2'
_cell_length_a 9.5436
_cell_length_b 9.5436
_cell_length_c 3.1738
_cell_angle_alpha 90.00
_cell_angle_beta 90.00
_cell_angle_gamma 90.00
loop_
_atom_site_label
_atom_site_type_symbol
_atom_site_fract_x
_atom_site_fract_y
_atom_site_fract_z
_atom_site_occupancy
Ta1 Ta 0.0000 0.0000 0.0000 1
Mo1 Mo 0.0000 0.3344 0.0000 1
Mo2 Mo 0.1687 0.1687 0.5000 1
```

14.
Diffraction record for Ta4Mo3. The powder diffractogram is simulated, not measured: it uses DFT lattice parameters and positions (GGA-PBE) and λ = 1.5418 Å (Cu Kα).

Peak list (6 most intense, 2θ = 10–80°, sorted by position)
| 2theta | Rel. int. | hkl |
| --- | --- | --- |
| 39.27 | 100 | 1 0 7 |
| 39.37 | 50 | 1 1 0 |
| 56.58 | 8 | 0 0 14 |
| 56.90 | 17 | 2 0 0 |
| 71.11 | 17 | 1 1 14 |
| 71.32 | 35 | 2 1 7 |

Crystal structure
```
data_Ta4Mo3
_chemical_formula_sum 'Ta8 Mo6'
_space_group_name_H-M_alt 'I 4/m m m'
_space_group_IT_number 139
_space_group_name_Hall '-I 4 2'
_cell_length_a 3.2364
_cell_length_b 3.2364
_cell_length_c 22.7729
_cell_angle_alpha 90.00
_cell_angle_beta 90.00
_cell_angle_gamma 90.00
loop_
_atom_site_label
_atom_site_type_symbol
_atom_site_fract_x
_atom_site_fract_y
_atom_site_fract_z
_atom_site_occupancy
Ta1 Ta 0.0000 0.0000 0.0708 1
Ta2 Ta 0.0000 0.0000 0.2112 1
Mo1 Mo 0.0000 0.0000 0.3576 1
Mo2 Mo 0.0000 0.0000 0.5000 1
```

15.
Diffraction record for Ta4Mo3. The powder diffractogram is simulated, not measured: it uses DFT lattice parameters and positions (GGA-PBE) and λ = 1.5418 Å (Cu Kα).

Peak list (6 most intense, 2θ = 10–80°, sorted by position)
| 2theta | Rel. int. | hkl |
| --- | --- | --- |
| 38.93 | 100 | 3 -1 1 |
| 39.61 | 95 | 4 1 0 |
| 56.75 | 33 | 2 4 1 |
| 70.06 | 17 | 1 2 2 |
| 71.41 | 33 | 7 0 1 |
| 71.86 | 16 | 3 6 0 |

Crystal structure
```
data_Ta4Mo3
_chemical_formula_sum 'Ta12 Mo9'
_space_group_name_H-M_alt 'R 3'
_space_group_IT_number 146
_space_group_name_Hall 'R 3'
_cell_length_a 12.0408
_cell_length_b 12.0408
_cell_length_c 2.8572
_cell_angle_alpha 90.00
_cell_angle_beta 90.00
_cell_angle_gamma 120.00
loop_
_atom_site_label
_atom_site_type_symbol
_atom_site_fract_x
_atom_site_fract_y
_atom_site_fract_z
_atom_site_occupancy
Ta1 Ta 0.0000 0.0000 0.0000 1
Ta2 Ta 0.1459 0.4277 0.0365 1
Mo1 Mo 0.0461 0.8071 0.6943 1
```